Entry 1:
This entry pairs a crystal structure of MgUO4 with its calculated XRD peak list. Radiation: Cu Kα (λ = 1.5418 Å). Structure: a cell relaxed with PBE.

Principal peaks in the range 2θ = 10–90°, in order of falling intensity:
two_theta	I_rel
18.84	100
31.95	73
26.59	37
26.93	36
37.23	30
50.44	27
50.84	27
25.57	24
46.55	19
43.15	17

Crystal structure
```
MgUO4
1.0
-3.3106 3.4831 3.3519
3.3106 -3.4831 3.3519
3.3106 3.4831 -3.3519
Mg U O
2 2 8
Cartesian
0.0000 0.0000 0.0000
0.0000 3.4831 0.0000
3.3106 1.7416 0.0943
0.0000 1.7416 3.2576
3.3106 -0.0743 1.2823
1.3391 1.7416 0.0966
1.9715 -1.7416 3.4485
3.3106 3.4089 -1.2823
0.0000 0.0743 4.6343
1.3391 5.2247 -0.0966
1.9715 1.7416 3.2554
0.0000 3.5574 2.0696
```

***

Entry 2:
This entry pairs a crystal structure of CuSiO4 with its calculated XRD peak list. Radiation: Cu Kα (λ = 1.5418 Å). Structure: a cell relaxed with PBE.

Principal peaks in the range 2θ = 10–90°, in order of falling intensity:
two_theta	I_rel
12.23	100
34.38	46
18.07	40
28.04	25
42.73	20
21.88	17
29.47	17
33.15	16
36.36	15
32.73	14

Crystal structure
```
CuSiO4
1.0
7.2399 4.1800 2.6289
-7.2399 4.1800 2.6289
0.0000 -8.3600 2.6289
Cu Si O
6 6 24
Cartesian
-4.1563 -0.8361 3.2255
-1.3540 -4.0175 4.6613
2.8023 -3.1814 3.2255
-2.8023 3.1814 4.6613
1.3540 4.0175 3.2255
4.1563 0.8361 4.6612
-5.3626 1.9857 2.9231
-4.4010 -3.6513 4.9636
0.9616 -5.6370 2.9231
-0.9616 5.6370 4.9636
4.4010 3.6513 2.9231
5.3626 -1.9857 4.9636
-6.9482 1.8880 3.2872
-5.1092 -5.0733 4.5995
-2.3528 -4.8082 3.1409
-4.1257 -2.7723 3.6103
-5.3404 -0.3665 4.7458
1.8390 -6.9613 3.2872
-0.9994 -2.3347 3.8122
-4.4637 2.1868 4.2765
-2.5216 -0.3019 4.0745
0.3380 -4.9591 4.2765
-2.9876 4.4417 3.1409
-1.5222 2.0328 3.8122
1.5222 -2.0328 4.0745
2.9876 -4.4417 4.7458
-0.3380 4.9591 3.6103
2.5216 0.3019 3.8122
4.4638 -2.1868 3.6103
0.9994 2.3347 4.0745
-1.8390 6.9613 4.5995
5.3405 0.3665 3.1409
4.1257 2.7723 4.2765
2.3528 4.8082 4.7458
5.1092 5.0733 3.2872
6.9482 -1.8880 4.5995
```